[1]
Starting from a DFT-relaxed cell (GGA+U, the Materials Project), the powder X-ray diffraction pattern of Li3CoOF3 was calculated for Cu Kα (λ = 1.5418 Å).
No peak broadening, texture or thermal motion is included.

Principal peaks in the range 2θ from 5° to 70°, low angle first:
| 2θ/deg | I/Imax |
| --- | --- |
| 10.4 | 100 |
| 20.9 | 25 |
| 30.7 | 23 |
| 31.5 | 12 |
| 32.5 | 35 |
| 42.4 | 27 |
| 44.0 | 50 |
| 44.6 | 20 |
| 45.3 | 10 |
| 62.8 | 28 |

Atomic structure:
```
Li3CoOF3
1.0
2.9093 -17.0390 0.0000
2.9093 17.0390 0.0000
0.0000 0.0000 2.9148
Li Co O F
12 4 4 12
Direct
0.0000 0.0000 0.0000 Li
0.0590 0.4370 0.5000 Li
0.1870 0.3089 0.5000 Li
0.2499 0.7501 0.0000 Li
0.3089 0.1870 0.5000 Li
0.4370 0.0590 0.5000 Li
0.5000 0.5000 0.0000 Li
0.5630 0.9410 0.5000 Li
0.6911 0.8130 0.5000 Li
0.7501 0.2499 0.0000 Li
0.8130 0.6911 0.5000 Li
0.9410 0.5630 0.5000 Li
0.1250 0.8750 0.0000 Co
0.3750 0.6250 0.0000 Co
0.6250 0.3750 0.0000 Co
0.8750 0.1250 0.0000 Co
0.1245 0.3745 0.5000 O
0.3745 0.1245 0.5000 O
0.6255 0.8755 0.5000 O
0.8755 0.6255 0.5000 O
0.0000 0.5000 0.5000 F
0.0588 0.9412 0.0000 F
0.1912 0.8088 0.0000 F
0.2511 0.2511 0.5000 F
0.3094 0.6906 0.0000 F
0.4406 0.5594 0.0000 F
0.5000 0.0000 0.5000 F
0.5594 0.4406 0.0000 F
0.6906 0.3094 0.0000 F
0.7489 0.7489 0.5000 F
0.8088 0.1912 0.0000 F
0.9412 0.0588 0.0000 F
```

[2]
Starting from a DFT-relaxed cell (GGA+U, the Materials Project), the powder X-ray diffraction pattern of CaCrO3 was calculated for Cu Kα (λ = 1.5418 Å).
No peak broadening, texture or thermal motion is included.

Principal peaks in the range 2θ from 5° to 70°, low angle first:
| 2θ/deg | I/Imax |
| --- | --- |
| 23.3 | 15 |
| 32.7 | 27 |
| 33.4 | 100 |
| 33.6 | 23 |
| 47.6 | 41 |
| 48.2 | 22 |
| 58.8 | 15 |
| 59.5 | 11 |
| 59.9 | 24 |
| 60.1 | 10 |

Atomic structure:
```
CaCrO3
1.0
5.4723 0.0000 0.0000
0.0000 7.5488 0.0000
0.0000 0.0000 5.3334
Ca Cr O
4 4 12
Direct
0.0450 0.2500 0.0079 Ca
0.4550 0.7500 0.5079 Ca
0.5450 0.2500 0.4921 Ca
0.9550 0.7500 0.9921 Ca
0.0000 0.0000 0.5000 Cr
0.0000 0.5000 0.5000 Cr
0.5000 0.0000 0.0000 Cr
0.5000 0.5000 0.0000 Cr
0.0214 0.7500 0.4229 O
0.2029 0.5399 0.7877 O
0.2029 0.9601 0.7877 O
0.2971 0.0399 0.2877 O
0.2971 0.4601 0.2877 O
0.4786 0.2500 0.9229 O
0.5214 0.7500 0.0771 O
0.7029 0.5399 0.7123 O
0.7029 0.9601 0.7123 O
0.7971 0.0399 0.2123 O
0.7971 0.4601 0.2123 O
0.9786 0.2500 0.5771 O
```